Structure and calculated powder X-ray diffraction pattern of LiAl2FeO6 (the GGA+U geometry in the Materials Project; Cu Kα).
Intensities are scaled so that the largest is 100.

Principal peaks in the range 2θ = 15–90°, in order of rising 2θ:
two_theta, d/Å, I/Imax
17.66, 5.023, 100
20.82, 4.266, 5
23.81, 3.737, 7
37.07, 2.425, 19
43.54, 2.079, 17
44.22, 2.048, 34
56.16, 1.638, 6
57.21, 1.610, 10
61.64, 1.505, 8
62.96, 1.476, 4
65.65, 1.422, 5
65.91, 1.417, 9

Atomic structure:
```
LiAl2FeO6
1.0
2.453 -4.266 0.000
2.453 4.266 0.000
-1.759 0.000 5.023
Li Al Fe O
1 2 1 6
direct
0.000 0.000 0.000
0.168 0.832 0.500
0.832 0.168 0.500
0.500 0.500 0.500
0.099 0.424 0.304
0.235 0.235 0.695
0.424 0.099 0.304
0.576 0.901 0.696
0.765 0.765 0.305
0.901 0.576 0.696
```

Structure and calculated powder X-ray diffraction pattern of Li2AlFeO4 (the GGA+U geometry in the Materials Project; Cu Kα).
Intensities are scaled so that the largest is 100.

Principal peaks in the range 2θ = 15–90°, in order of rising 2θ:
two_theta, d/Å, I/Imax
15.97, 5.551, 52
23.87, 3.728, 100
28.45, 3.138, 35
32.26, 2.775, 26
32.79, 2.732, 56
35.68, 2.516, 47
37.46, 2.401, 35
47.31, 1.921, 23
49.24, 1.851, 24
57.86, 1.594, 32
65.28, 1.429, 26
69.86, 1.346, 20

Atomic structure:
```
Li2AlFeO4
1.0
6.276 0.000 0.000
0.000 5.551 0.000
0.000 0.000 5.032
Li Al Fe O
4 2 2 8
direct
0.250 0.166 0.000
0.250 0.834 0.500
0.750 0.166 0.000
0.750 0.834 0.500
0.000 0.333 0.506
0.500 0.667 0.006
0.000 0.665 0.003
0.500 0.335 0.503
0.000 0.347 0.861
0.000 0.636 0.382
0.238 0.182 0.402
0.262 0.818 0.902
0.500 0.364 0.882
0.500 0.653 0.361
0.738 0.818 0.902
0.762 0.182 0.402
```

Structure and calculated powder X-ray diffraction pattern of Li2AlFeO4 (the GGA+U geometry in the Materials Project; Cu Kα).
Intensities are scaled so that the largest is 100.

Principal peaks in the range 2θ = 15–90°, in order of rising 2θ:
two_theta, d/Å, I/Imax
21.38, 4.156, 79
22.43, 3.963, 100
23.88, 3.726, 27
27.82, 3.206, 33
32.41, 2.762, 72
32.79, 2.731, 39
35.58, 2.523, 64
37.10, 2.423, 50
37.44, 2.402, 24
58.30, 1.583, 43
64.91, 1.437, 36
70.20, 1.341, 26

Atomic structure:
```
Li2AlFeO4
1.0
10.924 0.000 0.000
0.000 6.404 0.000
0.000 0.000 5.046
Li Al Fe O
8 4 4 16
direct
0.085 0.247 0.000
0.167 0.996 0.499
0.333 0.496 0.999
0.415 0.747 0.500
0.585 0.253 0.000
0.667 0.504 0.499
0.833 0.004 0.999
0.915 0.753 0.500
0.167 0.493 0.506
0.333 0.993 0.006
0.667 0.007 0.506
0.833 0.507 0.006
0.085 0.744 0.003
0.415 0.244 0.503
0.585 0.756 0.003
0.915 0.256 0.503
0.084 0.265 0.403
0.093 0.724 0.382
0.164 0.505 0.860
0.176 0.984 0.900
0.324 0.484 0.400
0.336 0.005 0.360
0.407 0.224 0.882
0.416 0.765 0.903
0.584 0.235 0.403
0.593 0.776 0.382
0.664 0.995 0.860
0.676 0.516 0.900
0.824 0.016 0.400
0.836 0.495 0.360
0.907 0.276 0.882
0.916 0.735 0.903
```